For Zn2FeS3, a DFT-relaxed cell (PBE, the Materials Project) gives the theoretical X-ray powder pattern in this record (Cu Ka).
Kinematic intensities with the Lorentz-polarization factor, no thermal factor.

Peak list (10 most intense, 2θ = 5–70°, low angle first)
- 2θ 28.32, intensity 33.0
- 2θ 28.52, intensity 100.0
- 2θ 33.00, intensity 14.0
- 2θ 47.23, intensity 40.9
- 2θ 47.49, intensity 40.2
- 2θ 55.99, intensity 13.9
- 2θ 56.22, intensity 26.0
- 2θ 56.33, intensity 13.3
- 2θ 59.04, intensity 2.7
- 2θ 69.21, intensity 12.1

Crystal structure
```
Zn2FeS3
1.0
3.8293 0.0000 0.0000
-1.9147 3.3163 0.0000
0.0000 0.0000 9.4531
Zn Fe S
2 1 3
Cartesian
0.0000 0.0000 0.0000
0.0000 2.2109 6.3006
1.9147 1.1054 3.1530
0.0000 0.0000 2.3665
0.0000 2.2109 8.6568
1.9147 1.1054 5.4815
```

=====

For LiLu2Ir, a DFT-relaxed cell (PBE, the Materials Project) gives the theoretical X-ray powder pattern in this record (Cu Ka).
Kinematic intensities with the Lorentz-polarization factor, no thermal factor.

Peak list (9 most intense, 2θ = 5–70°, low angle first)
- 2θ 22.64, intensity 27.6
- 2θ 26.20, intensity 10.1
- 2θ 37.39, intensity 100.0
- 2θ 44.16, intensity 14.6
- 2θ 46.23, intensity 2.9
- 2θ 53.91, intensity 17.6
- 2θ 59.21, intensity 6.2
- 2θ 60.91, intensity 3.8
- 2θ 67.45, intensity 36.1

Crystal structure
```
LiLu2Ir
1.0
0.0000 3.4012 3.4012
3.4012 0.0000 3.4012
3.4012 3.4012 0.0000
Li Lu Ir
1 2 1
Cartesian
0.0000 0.0000 0.0000
1.7006 1.7006 1.7006
5.1018 5.1018 5.1018
3.4012 3.4012 3.4012
```

=====

Q: Which formula does entry 2 have?
A: LiLu2Ir

=====

Q: Number 2 is which compound?
A: LiLu2Ir

=====

Q: What is the formula in the second record?
A: LiLu2Ir